No. 1
Theoretical PXRD pattern of Fe2NiN2 for Cu Kα, 1.54184 Å, from a cell relaxed with GGA-PBE.
Lines closer than 0.1° are merged.

Cell and atoms:
```
data_Fe2NiN2
_chemical_formula_sum 'Fe4 Ni2 N4'
_cell_length_a 2.746
_cell_length_b 11.826
_cell_length_c 2.800
_cell_angle_alpha 90.00
_cell_angle_beta 90.00
_cell_angle_gamma 90.00
_symmetry_space_group_name_H-M 'P m m n'
_symmetry_Int_Tables_number 59
loop_
_symmetry_equiv_pos_as_xyz
'x,y,z'
'-x,-y,-z'
'-x+1/2,-y+1/2,z'
'x+1/2,y+1/2,-z'
'x+1/2,-y,-z'
'-x+1/2,y,z'
'-x,y+1/2,-z'
'x,-y+1/2,z'
loop_
_atom_site_label
_atom_site_fract_x
_atom_site_fract_y
_atom_site_fract_z
Fe1 0.250 0.070 0.228
Ni1 0.250 0.750 0.295
N1 0.250 0.596 0.265
```

Largest 10 diffraction maxima, sorted by position, 10 to 90 degrees two-theta:
- 39.5 deg, I = 88.9
- 40.0 deg, I = 89.7
- 46.0 deg, I = 44.4
- 46.3 deg, I = 100.0
- 66.8 deg, I = 13.0
- 67.4 deg, I = 49.7
- 68.3 deg, I = 14.1
- 80.8 deg, I = 24.5
- 81.9 deg, I = 19.3
- 86.4 deg, I = 11.9

No. 2
Theoretical PXRD pattern of Ba4Rh for Cu Kα, 1.54184 Å, from a cell relaxed with GGA-PBE.
Lines closer than 0.1° are merged.

Cell and atoms:
a = 13.168 Å, b = 13.168 Å, c = 13.168 Å
α = 90.00°, β = 90.00°, γ = 90.00°
Space group Fd-3m (No. 227, origin choice 2)
Asymmetric unit:
1 Ba 0.001 0.001 0.249
2 Rh 0.125 0.125 0.625

Largest 10 diffraction maxima, sorted by position, 10 to 90 degrees two-theta:
- 19.1 deg, I = 10.2
- 23.4 deg, I = 100.0
- 27.1 deg, I = 33.2
- 38.7 deg, I = 57.8
- 45.7 deg, I = 49.4
- 61.4 deg, I = 20.5
- 63.2 deg, I = 12.1
- 70.0 deg, I = 20.1
- 74.9 deg, I = 15.4
- 87.7 deg, I = 15.9

No. 3
Theoretical PXRD pattern of Li8Ti16CuS32 for Cu Kα, 1.54184 Å, from a cell relaxed with GGA-PBE.
Lines closer than 0.1° are merged.

Cell and atoms:
```
data_Li8Ti16CuS32
_chemical_formula_sum 'Li8 Ti16 Cu1 S32'
_cell_length_a 7.040
_cell_length_b 7.044
_cell_length_c 23.443
_cell_angle_alpha 90.20
_cell_angle_beta 98.43
_cell_angle_gamma 119.96
_symmetry_space_group_name_H-M 'P 1'
_symmetry_Int_Tables_number 1
_symmetry_space_group_name_Hall 'P 1'
loop_
_atom_site_label
_atom_site_fract_x
_atom_site_fract_y
_atom_site_fract_z
Li1 0.000 0.000 0.000
Li2 0.000 0.500 0.500
Li3 0.001 0.497 0.000
Li4 0.245 0.368 0.613
Li5 0.253 0.877 0.126
Li6 0.501 0.749 0.250
Li7 0.748 0.122 0.873
Li8 0.751 0.624 0.375
Ti1 0.002 0.251 0.251
Ti2 0.003 0.748 0.754
Ti3 0.249 0.630 0.875
Ti4 0.250 0.115 0.874
Ti5 0.251 0.123 0.375
Ti6 0.251 0.623 0.375
Ti7 0.253 0.372 0.126
Ti8 0.258 0.879 0.624
Ti9 0.500 0.499 0.999
Ti10 0.501 0.997 0.497
Ti11 0.746 0.367 0.624
Ti12 0.749 0.373 0.126
Ti13 0.750 0.875 0.624
Ti14 0.751 0.124 0.375
Ti15 0.753 0.876 0.126
Ti16 0.756 0.626 0.875
Cu1 0.315 0.407 0.723
S1 0.119 0.049 0.687
S2 0.119 0.066 0.187
S3 0.119 0.567 0.686
S4 0.120 0.552 0.187
S5 0.124 0.310 0.434
S6 0.127 0.812 0.936
S7 0.133 0.315 0.936
S8 0.133 0.817 0.436
S9 0.368 0.430 0.313
S10 0.368 0.932 0.813
S11 0.378 0.938 0.316
S12 0.380 0.437 0.818
S13 0.382 0.682 0.063
S14 0.383 0.179 0.562
S15 0.383 0.196 0.063
S16 0.383 0.697 0.562
S17 0.620 0.303 0.436
S18 0.621 0.315 0.937
S19 0.621 0.803 0.937
S20 0.621 0.816 0.436
S21 0.624 0.060 0.684
S22 0.625 0.561 0.185
S23 0.635 0.067 0.187
S24 0.637 0.567 0.687
S25 0.865 0.179 0.562
S26 0.869 0.682 0.063
S27 0.878 0.187 0.066
S28 0.880 0.687 0.567
S29 0.882 0.431 0.313
S30 0.883 0.446 0.813
S31 0.883 0.932 0.813
S32 0.883 0.945 0.313
```

Largest 10 diffraction maxima, sorted by position, 10 to 90 degrees two-theta:
- 15.4 deg, I = 72.5
- 29.7 deg, I = 34.4
- 29.8 deg, I = 17.4
- 36.0 deg, I = 100.0
- 36.1 deg, I = 49.6
- 51.7 deg, I = 18.2
- 51.9 deg, I = 54.1
- 51.9 deg, I = 36.1
- 64.8 deg, I = 15.0
- 87.5 deg, I = 19.7

No. 4
Theoretical PXRD pattern of NdSiNi4 for Cu Kα, 1.54184 Å, from a cell relaxed with GGA-PBE.
Lines closer than 0.1° are merged.

Cell and atoms:
```
data_NdSiNi4
_chemical_formula_sum 'Nd2 Si2 Ni8'
_cell_length_a 5.199
_cell_length_b 8.346
_cell_length_c 3.970
_cell_angle_alpha 90.00
_cell_angle_beta 90.00
_cell_angle_gamma 90.00
_symmetry_space_group_name_H-M 'C m m m'
_symmetry_Int_Tables_number 65
_symmetry_space_group_name_Hall '-C 2 2'
loop_
_atom_site_label
_atom_site_fract_x
_atom_site_fract_y
_atom_site_fract_z
Nd1 0.000 0.000 0.000
Si1 0.000 0.500 0.500
Ni1 0.000 0.343 0.000
Ni2 0.250 0.250 0.500
```

Largest 10 diffraction maxima, sorted by position, 10 to 90 degrees two-theta:
- 30.3 deg, I = 26.8
- 31.1 deg, I = 47.5
- 36.6 deg, I = 47.5
- 40.9 deg, I = 37.3
- 41.5 deg, I = 79.2
- 43.4 deg, I = 100.0
- 45.7 deg, I = 39.3
- 60.0 deg, I = 21.7
- 63.0 deg, I = 27.2
- 68.0 deg, I = 22.3

No. 5
Theoretical PXRD pattern of TmMg2 for Cu Kα, 1.54184 Å, from a cell relaxed with GGA-PBE.
Lines closer than 0.1° are merged.

Cell and atoms:
```
data_TmMg2
_chemical_formula_sum 'Tm4 Mg8'
_cell_length_a 6.0013
_cell_length_b 6.0013
_cell_length_c 9.7504
_cell_angle_alpha 90.00
_cell_angle_beta 90.00
_cell_angle_gamma 120.00
_symmetry_space_group_name_H-M 'P 63/m m c'
_symmetry_Int_Tables_number 194
_symmetry_space_group_name_Hall '-P 6c 2c'
loop_
_atom_site_label
_atom_site_fract_x
_atom_site_fract_y
_atom_site_fract_z
Tm1 0.3333 0.6667 0.0636
Mg1 0.0000 0.0000 0.0000
Mg2 0.1710 0.3420 0.7500
```

Largest 10 diffraction maxima, sorted by position, 10 to 90 degrees two-theta:
- 17.1 deg, I = 46.4
- 18.2 deg, I = 25.8
- 19.4 deg, I = 32.2
- 25.0 deg, I = 23.0
- 29.8 deg, I = 81.5
- 32.5 deg, I = 100.0
- 35.1 deg, I = 76.4
- 35.8 deg, I = 28.9
- 54.6 deg, I = 44.9
- 59.2 deg, I = 22.6

No. 6
Theoretical PXRD pattern of CsAs2Rh2 for Cu Kα, 1.54184 Å, from a cell relaxed with GGA-PBE.
Lines closer than 0.1° are merged.

Cell and atoms:
```
data_CsAs2Rh2
_chemical_formula_sum 'Cs2 As4 Rh4'
_cell_length_a 4.067
_cell_length_b 4.067
_cell_length_c 14.966
_cell_angle_alpha 90.00
_cell_angle_beta 90.00
_cell_angle_gamma 90.00
_symmetry_space_group_name_H-M 'I 4/m m m'
_symmetry_Int_Tables_number 139
_symmetry_space_group_name_Hall '-I 4 2'
loop_
_atom_site_label
_atom_site_fract_x
_atom_site_fract_y
_atom_site_fract_z
Cs1 0.000 0.000 0.000
As1 0.000 0.000 0.342
Rh1 0.000 0.500 0.250
```

Largest 10 diffraction maxima, sorted by position, 10 to 90 degrees two-theta:
- 11.8 deg, I = 52.6
- 23.8 deg, I = 27.6
- 28.3 deg, I = 100.0
- 33.4 deg, I = 62.5
- 39.5 deg, I = 17.5
- 44.6 deg, I = 43.9
- 48.3 deg, I = 67.0
- 53.6 deg, I = 32.8
- 64.8 deg, I = 14.1
- 84.8 deg, I = 26.3

No. 7
Theoretical PXRD pattern of CdAgO2 for Cu Kα, 1.54184 Å, from a cell relaxed with GGA-PBE.
Lines closer than 0.1° are merged.

Cell and atoms:
```
data_CdAgO2
_chemical_formula_sum 'Cd4 Ag4 O8'
_cell_length_a 6.830
_cell_length_b 9.313
_cell_length_c 3.448
_cell_angle_alpha 90.00
_cell_angle_beta 92.22
_cell_angle_gamma 90.00
_symmetry_space_group_name_H-M 'C 1 2/m 1'
_symmetry_Int_Tables_number 12
_symmetry_space_group_name_Hall '-C 2y'
loop_
_atom_site_label
_atom_site_fract_x
_atom_site_fract_y
_atom_site_fract_z
Cd1 0.250 0.250 0.000
Ag1 0.000 0.000 0.500
Ag2 0.000 0.500 0.500
O1 0.000 0.228 0.500
O2 0.248 0.500 0.130
```

Largest 10 diffraction maxima, sorted by position, 10 to 90 degrees two-theta:
- 32.3 deg, I = 100.0
- 32.5 deg, I = 93.1
- 36.3 deg, I = 59.3
- 37.8 deg, I = 53.1
- 38.7 deg, I = 50.7
- 53.2 deg, I = 16.9
- 53.7 deg, I = 18.5
- 54.1 deg, I = 34.2
- 55.2 deg, I = 32.2
- 68.1 deg, I = 16.8